[1]
CeB3O6: computed X-ray diffraction stick pattern (Cu Kα (λ = 1.5418 Å)), based on a cell relaxed with PBE.
No peak broadening, texture or thermal motion is included.

Structure:
```
data_CeB3O6
_cell_length_a 18.620
_cell_length_b 4.511
_cell_length_c 4.324
_cell_angle_alpha 90.00
_cell_angle_beta 90.00
_cell_angle_gamma 90.00
_symmetry_space_group_name_H-M 'P c a 21'
_symmetry_Int_Tables_number 29
loop_
_symmetry_equiv_pos_as_xyz
'x,y,z'
'-x,-y,z+1/2'
'-x+1/2,y,z+1/2'
'x+1/2,-y,z'
loop_
_atom_site_label
_atom_site_fract_x
_atom_site_fract_y
_atom_site_fract_z
Ce1 0.160 0.186 0.000
B1 0.002 0.824 0.942
B2 0.074 0.674 0.469
B3 0.213 0.638 0.493
O1 0.017 0.873 0.296
O2 0.060 0.363 0.395
O3 0.068 0.736 0.801
O4 0.145 0.760 0.360
O5 0.209 0.317 0.492
O6 0.224 0.748 0.811
```

Principal peaks in the range 2θ = 5–70°, by angle:
2θ (°)  I (rel.)  h k l
9.50  48  2 0 0
20.26  50  1 1 0
22.67  53  2 0 1
28.17  40  4 0 1
31.14  49  5 1 0
32.10  100  3 1 1

[2]
CeSiBO5: computed X-ray diffraction stick pattern (Cu Kα (λ = 1.5418 Å)), based on a cell relaxed with PBE.
No peak broadening, texture or thermal motion is included.

Structure:
```
data_CeSiBO5
_cell_length_a 6.9048
_cell_length_b 6.9048
_cell_length_c 6.7344
_cell_angle_alpha 90.00
_cell_angle_beta 90.00
_cell_angle_gamma 120.00
_symmetry_space_group_name_H-M 'P 31'
_symmetry_Int_Tables_number 144
loop_
_symmetry_equiv_pos_as_xyz
'x,y,z'
'-y,x-y,z+1/3'
'-x+y,-x,z+2/3'
loop_
_atom_site_label
_atom_site_fract_x
_atom_site_fract_y
_atom_site_fract_z
Ce1 0.9998 0.5870 0.0000
Si1 0.0018 0.5846 0.5008
B1 0.1152 0.0153 0.6370
O1 0.0632 0.0534 0.4367
O2 0.1395 0.8089 0.6482
O3 0.1490 0.5427 0.3371
O4 0.3491 0.1961 0.6885
O5 0.5290 0.1380 0.3288
```

Principal peaks in the range 2θ = 5–70°, by angle:
2θ (°)  I (rel.)  h k l
19.86  98  0 1 1
25.81  89  1 1 0
29.88  60  2 0 0
30.47  100  1 0 2
42.17  59  2 1 1
48.51  70  1 2 2

[3]
CeTl2B2O6: computed X-ray diffraction stick pattern (Cu Kα (λ = 1.5418 Å)), based on a cell relaxed with PBE.
No peak broadening, texture or thermal motion is included.

Structure:
```
data_CeTl2B2O6
_cell_length_a 5.5538
_cell_length_b 5.5538
_cell_length_c 19.8425
_cell_angle_alpha 90.00
_cell_angle_beta 90.00
_cell_angle_gamma 120.00
_symmetry_space_group_name_H-M 'R -3 m'
_symmetry_Int_Tables_number 166
_symmetry_space_group_name_Hall '-R 3 2"'
loop_
_atom_site_label
_atom_site_fract_x
_atom_site_fract_y
_atom_site_fract_z
Ce1 0.0000 0.0000 0.0000
Tl1 0.0000 0.0000 0.2127
B1 0.0000 0.0000 0.4005
O1 0.0449 0.5224 0.2657
```

Principal peaks in the range 2θ = 5–70°, by angle:
2θ (°)  I (rel.)  h k l
18.99  36  1 0 1
25.80  44  1 0 4
29.17  100  0 1 5
32.24  69  1 1 0
53.04  30  1 1 9
55.61  28  1 2 5

[4]
Ce4BOs2: computed X-ray diffraction stick pattern (Cu Kα (λ = 1.5418 Å)), based on a cell relaxed with PBE.
No peak broadening, texture or thermal motion is included.

Structure:
```
data_Ce4BOs2
_cell_length_a 11.864
_cell_length_b 8.365
_cell_length_c 8.330
_cell_angle_alpha 90.00
_cell_angle_beta 133.60
_cell_angle_gamma 90.00
_symmetry_space_group_name_H-M 'C 1 2 1'
_symmetry_Int_Tables_number 5
loop_
_symmetry_equiv_pos_as_xyz
'x,y,z'
'-x,y,-z'
'x+1/2,y+1/2,z'
'-x+1/2,y+1/2,-z'
loop_
_atom_site_label
_atom_site_fract_x
_atom_site_fract_y
_atom_site_fract_z
Ce1 0.010 0.000 0.205
Ce2 0.127 0.618 0.437
Ce3 0.163 0.274 0.712
Ce4 0.166 0.391 0.106
B1 0.101 0.298 0.347
Os1 0.000 0.695 0.000
Os2 0.000 0.897 0.500
Os3 0.194 0.632 0.864
```

Principal peaks in the range 2θ = 5–70°, by angle:
2θ (°)  I (rel.)  h k l
30.29  74  2 2 -2
33.06  88  3 1 0
33.90  64  1 3 -1
34.03  100  3 1 -3
39.38  65  1 1 2
39.81  79  4 2 -1

[5]
Ce3B2P3: computed X-ray diffraction stick pattern (Cu Kα (λ = 1.5418 Å)), based on a cell relaxed with PBE.
No peak broadening, texture or thermal motion is included.

Structure:
```
data_Ce3B2P3
_cell_length_a 3.570
_cell_length_b 19.046
_cell_length_c 4.225
_cell_angle_alpha 90.00
_cell_angle_beta 90.00
_cell_angle_gamma 90.00
_symmetry_space_group_name_H-M 'C m m m'
_symmetry_Int_Tables_number 65
_symmetry_space_group_name_Hall '-C 2 2'
loop_
_atom_site_label
_atom_site_fract_x
_atom_site_fract_y
_atom_site_fract_z
Ce1 0.000 0.000 0.000
Ce2 0.000 0.167 0.500
B1 0.000 0.269 0.000
P1 0.000 0.372 0.000
P2 0.000 0.500 0.500
```

Principal peaks in the range 2θ = 5–70°, by angle:
2θ (°)  I (rel.)  h k l
23.03  32  0 2 1
25.39  19  1 1 0
28.11  37  0 6 0
34.43  18  1 5 0
35.84  100  1 3 1
54.92  19  1 9 1

[6]
Ce2BPRh6: computed X-ray diffraction stick pattern (Cu Kα (λ = 1.5418 Å)), based on a cell relaxed with PBE.
No peak broadening, texture or thermal motion is included.

Structure:
```
data_Ce2BPRh6
_cell_length_a 4.386
_cell_length_b 4.386
_cell_length_c 8.688
_cell_angle_alpha 90.00
_cell_angle_beta 90.00
_cell_angle_gamma 90.00
_symmetry_space_group_name_H-M 'P 4/m m m'
_symmetry_Int_Tables_number 123
_symmetry_space_group_name_Hall '-P 4 2'
loop_
_atom_site_label
_atom_site_fract_x
_atom_site_fract_y
_atom_site_fract_z
Ce1 0.000 0.000 0.239
B1 0.500 0.500 0.000
P1 0.500 0.500 0.500
Rh1 0.000 0.500 0.000
Rh2 0.000 0.500 0.500
Rh3 0.500 0.500 0.237
```

Principal peaks in the range 2θ = 5–70°, by angle:
2θ (°)  I (rel.)  h k l
28.93  3  1 0 2
35.57  100  1 1 2
41.16  40  2 0 0
41.58  18  0 0 4
59.62  13  2 2 0
59.94  25  2 0 4

[7]
Ce2PaB6: computed X-ray diffraction stick pattern (Cu Kα (λ = 1.5418 Å)), based on a cell relaxed with PBE.
No peak broadening, texture or thermal motion is included.

Structure:
```
data_Ce2PaB6
_cell_length_a 3.186
_cell_length_b 8.607
_cell_length_c 8.635
_cell_angle_alpha 90.00
_cell_angle_beta 90.00
_cell_angle_gamma 90.00
_symmetry_space_group_name_H-M 'I m m m'
_symmetry_Int_Tables_number 71
_symmetry_space_group_name_Hall '-I 2 2'
loop_
_atom_site_label
_atom_site_fract_x
_atom_site_fract_y
_atom_site_fract_z
Ce1 0.000 0.000 0.150
Pa1 0.000 0.500 0.000
B1 0.000 0.251 0.306
B2 0.000 0.278 0.500
```

Principal peaks in the range 2θ = 5–70°, by angle:
2θ (°)  I (rel.)  h k l
20.63  84  0 2 0
29.89  42  1 0 1
32.81  60  0 1 3
36.59  100  1 2 1
44.59  26  0 3 3
52.28  28  1 1 4

[8]
CePrB12: computed X-ray diffraction stick pattern (Cu Kα (λ = 1.5418 Å)), based on a cell relaxed with PBE.
No peak broadening, texture or thermal motion is included.

Structure:
```
data_CePrB12
_cell_length_a 4.132
_cell_length_b 4.132
_cell_length_c 8.267
_cell_angle_alpha 90.00
_cell_angle_beta 90.00
_cell_angle_gamma 90.00
_symmetry_space_group_name_H-M 'P 4/m m m'
_symmetry_Int_Tables_number 123
_symmetry_space_group_name_Hall '-P 4 2'
loop_
_atom_site_label
_atom_site_fract_x
_atom_site_fract_y
_atom_site_fract_z
Ce1 0.000 0.000 0.000
Pr1 0.000 0.000 0.500
B1 0.199 0.500 0.249
B2 0.500 0.500 0.099
B3 0.500 0.500 0.400
```

Principal peaks in the range 2θ = 5–70°, by angle:
2θ (°)  I (rel.)  h k l
21.50  64  1 0 0
30.60  100  1 1 0
37.71  42  1 1 2
49.31  49  2 1 0
54.39  27  2 1 2
68.07  28  2 2 2